Diffraction record for Li2BiO3. The powder diffractogram is calculated, not measured: it uses a cell relaxed with PBE and a wavelength of 1.5418 Å.
Kinematic intensities with the Lorentz-polarization factor, no thermal factor.

```
data_Li2BiO3
_chemical_formula_sum 'Li16 Bi8 O24'
_cell_length_a 5.7200
_cell_length_b 9.8518
_cell_length_c 10.3844
_cell_angle_alpha 90.00
_cell_angle_beta 99.35
_cell_angle_gamma 90.00
_space_group_name_H-M_alt 'C 1 2/c 1'
_space_group_IT_number 15
_space_group_name_Hall '-C 2yc'
loop_
_atom_site_label
_atom_site_type_symbol
_atom_site_fract_x
_atom_site_fract_y
_atom_site_fract_z
Li1 Li 0.0000 0.0889 0.2500
Li2 Li 0.2136 0.0939 0.0049
Li3 Li 0.2500 0.2500 0.5000
Bi1 Bi 0.0000 0.2460 0.7500
Bi2 Bi 0.0000 0.4214 0.2500
O1 O 0.1076 0.0890 0.6263
O2 O 0.1179 0.3960 0.6227
O3 O 0.1533 0.2463 0.1321
```

Top 6 peaks for 15° ≤ 2θ ≤ 90°, in order of rising 2θ:
2θ (°), I (rel.), (hkl)
17.31, 100, 0 0 2
18.11, 31, 1 1 0
20.00, 27, 0 2 1
32.02, 46, 1 3 -1
33.44, 28, 1 3 1
39.59, 45, 1 3 -3